(1)
Simulated powder diffractogram of SmMgTiO3 for copper Kα, from a crystal structure in the Materials Project, relaxed with PBE.
Kinematic intensities with the Lorentz-polarization factor, no thermal factor.

Most intense lines, 10 to 90 degrees two-theta, low angle first:
index  2θ/deg  I_rel
1 0 1  20.79  69.3
0 1 2  27.35  55.9
0 0 3  30.68  25.6
1 1 0  31.64  100.0
0 2 1  38.17  27.5
1 1 3  44.65  99.1
3 0 0  56.37  21.9
3 0 3  65.55  35.6
2 2 0  66.11  25.3
2 2 3  74.63  21.4

Cell and atoms:
Unit cell a=5.6552 b=5.6552 c=8.7437 alpha=90.00 beta=90.00 gamma=120.00
Space group R3m (No. 160, hexagonal axes)
Symmetry-distinct sites (fractional):
Sm 0.0000 0.0000 0.0000 [3 per cell]
Mg 0.0000 0.0000 0.6486 [3 per cell]
Ti 0.0000 0.0000 0.3423 [3 per cell]
O 0.1669 0.3339 0.1853 [9 per cell]


(2)
Simulated powder diffractogram of MgSnO6 for copper Kα, from a crystal structure in the Materials Project, relaxed with PBE.
Kinematic intensities with the Lorentz-polarization factor, no thermal factor.

Most intense lines, 10 to 90 degrees two-theta, low angle first:
index  2θ/deg  I_rel
1 1 1  18.82  46.4
2 0 0  21.76  100.0
2 2 0  30.96  31.2
3 1 1  36.48  29.6
4 0 0  44.36  26.3
3 3 1  48.58  14.1
4 2 0  49.93  40.7
4 2 2  55.08  14.1
4 4 0  64.53  15.2
6 0 0  68.98  18.7

Cell and atoms:
Unit cell a=8.169 b=8.169 c=8.169 alpha=90.00 beta=90.00 gamma=90.00
Space group Fm-3m (No. 225)
Symmetry-distinct sites (fractional):
Mg 0.000 0.000 0.000 [4 per cell]
Sn 0.000 0.000 0.500 [4 per cell]
O 0.000 0.000 0.247 [24 per cell]


(3)
Simulated powder diffractogram of MgSn4O9 for copper Kα, from a crystal structure in the Materials Project, relaxed with PBE.
Kinematic intensities with the Lorentz-polarization factor, no thermal factor.

Most intense lines, 10 to 90 degrees two-theta, low angle first:
index  2θ/deg  I_rel
1 1 0  15.36  12.9
1 2 1  30.19  100.0
3 1 0  34.78  23.3
0 0 2  35.43  10.0
2 4 0  50.01  15.3
3 1 2  50.50  27.2
4 3 1  59.53  27.1
1 2 3  60.41  18.0
2 4 2  62.78  9.3
5 0 3  82.15  8.9

Cell and atoms:
Unit cell a=8.157 b=8.157 c=5.067 alpha=90.00 beta=90.00 gamma=90.00
Space group P4/n (No. 85, origin choice 2)
Symmetry-distinct sites (fractional):
Mg 0.250 0.250 0.220 [2 per cell]
Sn 0.062 0.864 0.231 [8 per cell]
O 0.004 0.754 0.583 [8 per cell]
O 0.044 0.353 0.942 [8 per cell]
O 0.250 0.750 0.000 [2 per cell]


(4)
Simulated powder diffractogram of MgSn2O5 for copper Kα, from a crystal structure in the Materials Project, relaxed with PBE.
Kinematic intensities with the Lorentz-polarization factor, no thermal factor.

Most intense lines, 10 to 90 degrees two-theta, low angle first:
index  2θ/deg  I_rel
0 1 0  17.06  100.0
0 1 -2  22.09  20.0
1 0 -1  26.92  21.8
1 0 1  27.13  64.7
0 0 4  28.09  39.7
1 -1 0  31.22  21.9
1 1 0  31.41  21.1
0 1 -4  33.05  29.2
1 0 -3  33.48  26.6
1 0 3  33.90  22.4

Cell and atoms:
Unit cell a=3.419 b=5.198 c=12.707 alpha=90.08 beta=90.70 gamma=90.36
Space group P1 (No. 1)
Symmetry-distinct sites (fractional):
Mg 0.000 0.000 0.000 [1 per cell]
Mg 0.491 0.209 0.503 [1 per cell]
Sn 0.001 0.706 0.358 [1 per cell]
Sn 0.493 0.504 0.144 [1 per cell]
Sn 0.497 0.503 0.858 [1 per cell]
Sn 0.989 0.706 0.644 [1 per cell]
O 0.028 0.064 0.398 [1 per cell]
O 0.477 0.145 0.105 [1 per cell]
O 0.489 0.515 0.682 [1 per cell]
O 0.498 0.694 0.001 [1 per cell]
O 0.499 0.515 0.320 [1 per cell]
O 0.514 0.143 0.896 [1 per cell]
O 0.970 0.065 0.607 [1 per cell]
O 0.990 0.516 0.501 [1 per cell]
O 0.996 0.695 0.182 [1 per cell]
O 0.997 0.694 0.820 [1 per cell]


(5)
Simulated powder diffractogram of Mg3SnO4 for copper Kα, from a crystal structure in the Materials Project, relaxed with PBE.
Kinematic intensities with the Lorentz-polarization factor, no thermal factor.

Most intense lines, 10 to 90 degrees two-theta, low angle first:
index  2θ/deg  I_rel
1 0 0  19.36  76.4
1 1 0  27.51  66.9
1 1 1  33.86  50.0
2 0 0  39.29  100.0
2 1 0  44.16  39.1
2 1 1  48.63  29.8
2 2 0  56.78  63.1
3 0 0  60.57  20.0
3 1 1  67.77  26.0
2 2 2  71.23  20.4

Cell and atoms:
Unit cell a=4.586 b=4.586 c=4.586 alpha=90.00 beta=90.00 gamma=90.00
Space group Pm-3m (No. 221)
Symmetry-distinct sites (fractional):
Mg 0.000 0.000 0.500 [3 per cell]
Sn 0.500 0.500 0.500 [1 per cell]
O 0.000 0.000 0.000 [1 per cell]
O 0.000 0.500 0.500 [3 per cell]


(6)
Simulated powder diffractogram of Mg2Sn9O13 for copper Kα, from a crystal structure in the Materials Project, relaxed with PBE.
Kinematic intensities with the Lorentz-polarization factor, no thermal factor.

Most intense lines, 10 to 90 degrees two-theta, low angle first:
index  2θ/deg  I_rel
4 0 -2  22.67  38.5
2 0 -4  22.99  25.4
0 0 4  23.63  46.9
2 0 -5  28.43  37.1
4 0 2  29.14  76.2
3 1 -1  32.60  100.0
3 1 -2  33.28  32.5
1 1 3  34.67  47.6
2 0 6  41.08  30.9
7 1 1  52.47  33.7

Cell and atoms:
Unit cell a=16.066 b=3.201 c=15.782 alpha=90.00 beta=107.42 gamma=90.00
Space group C2/m (No. 12)
Symmetry-distinct sites (fractional):
Mg 0.128 0.000 0.264 [4 per cell]
Sn 0.000 0.000 0.000 [2 per cell]
Sn 0.032 0.500 0.387 [4 per cell]
Sn 0.089 0.500 0.827 [4 per cell]
Sn 0.174 0.000 0.611 [4 per cell]
Sn 0.205 0.500 0.123 [4 per cell]
O 0.000 0.500 0.500 [2 per cell]
O 0.041 0.500 0.253 [4 per cell]
O 0.060 0.500 0.953 [4 per cell]
O 0.064 0.000 0.663 [4 per cell]
O 0.108 0.000 0.117 [4 per cell]
O 0.118 0.000 0.403 [4 per cell]
O 0.217 0.500 0.261 [4 per cell]


(7)
Simulated powder diffractogram of MgSn2O5 for copper Kα, from a crystal structure in the Materials Project, relaxed with PBE.
Kinematic intensities with the Lorentz-polarization factor, no thermal factor.

Most intense lines, 10 to 90 degrees two-theta, low angle first:
index  2θ/deg  I_rel
0 1 0  17.06  100.0
0 1 2  22.09  21.2
1 0 -2  27.13  64.4
0 0 4  28.09  38.1
1 1 -1  31.31  42.1
0 1 4  33.05  28.4
1 0 2  33.48  26.7
1 0 -4  33.90  22.6
0 0 6  42.74  22.3
1 2 -1  43.75  23.4

Cell and atoms:
Unit cell a=3.419 b=5.198 c=13.119 alpha=90.00 beta=104.41 gamma=90.00
Space group P2/c (No. 13)
Symmetry-distinct sites (fractional):
Mg 0.000 0.104 0.250 [2 per cell]
Sn 0.349 0.399 0.606 [4 per cell]
O 0.186 0.409 0.432 [4 per cell]
O 0.382 0.039 0.646 [4 per cell]
O 0.500 0.412 0.250 [2 per cell]


(8)
Simulated powder diffractogram of MgSn4O8 for copper Kα, from a crystal structure in the Materials Project, relaxed with PBE.
Kinematic intensities with the Lorentz-polarization factor, no thermal factor.

Most intense lines, 10 to 90 degrees two-theta, low angle first:
index  2θ/deg  I_rel
0 0 1  11.34  79.0
2 0 -1  11.77  78.9
2 0 -2  17.17  100.0
4 0 -1  25.24  61.6
2 0 -3  26.77  75.9
4 0 0  31.33  58.5
1 1 1  32.76  86.1
3 1 -1  33.08  85.7
3 1 -2  33.71  79.4
7 1 -2  52.61  52.0

Cell and atoms:
Unit cell a=15.120 b=3.244 c=10.335 alpha=90.00 beta=130.96 gamma=90.00
Space group Cm (No. 8)
Symmetry-distinct sites (fractional):
Mg 0.000 0.000 0.000 [2 per cell]
Sn 0.088 0.000 0.427 [2 per cell]
Sn 0.104 0.500 0.775 [2 per cell]
Sn 0.288 0.000 0.143 [2 per cell]
Sn 0.303 0.500 0.491 [2 per cell]
O 0.081 0.500 0.552 [2 per cell]
O 0.111 0.500 0.313 [2 per cell]
O 0.159 0.500 0.033 [2 per cell]
O 0.224 0.000 0.887 [2 per cell]
O 0.276 0.000 0.594 [2 per cell]
O 0.308 0.000 0.363 [2 per cell]
O 0.404 0.500 0.224 [2 per cell]
O 0.486 0.500 0.697 [2 per cell]


(9)
Simulated powder diffractogram of MgSn4O8 for copper Kα, from a crystal structure in the Materials Project, relaxed with PBE.
Kinematic intensities with the Lorentz-polarization factor, no thermal factor.

Most intense lines, 10 to 90 degrees two-theta, low angle first:
index  2θ/deg  I_rel
0 0 3  17.54  100.0
0 2 1  31.74  62.0
2 0 2  33.39  39.6
0 2 4  39.38  67.7
2 0 5  43.41  24.2
0 2 7  52.95  18.8
2 2 0  55.48  23.4
2 0 8  58.33  20.2
2 2 3  58.65  25.1
4 0 4  70.15  17.6

Cell and atoms:
Unit cell a=6.6252 b=6.6252 c=15.1715 alpha=90.00 beta=90.00 gamma=120.00
Space group R-3m (No. 166, hexagonal axes)
Symmetry-distinct sites (fractional):
Mg 0.0000 0.0000 0.0000 [3 per cell]
Sn 0.0000 0.0000 0.5000 [3 per cell]
Sn 0.0000 0.5000 0.5000 [9 per cell]
O 0.0000 0.0000 0.2365 [6 per cell]
O 0.0448 0.5224 0.7579 [18 per cell]


(10)
Simulated powder diffractogram of MgSn4O8 for copper Kα, from a crystal structure in the Materials Project, relaxed with PBE.
Kinematic intensities with the Lorentz-polarization factor, no thermal factor.

Most intense lines, 10 to 90 degrees two-theta, low angle first:
index  2θ/deg  I_rel
0 0 1  11.40  42.5
2 0 -1  11.52  18.1
2 0 -2  18.06  67.6
2 0 1  23.11  18.8
4 0 -3  28.25  23.6
4 0 0  28.57  44.7
3 1 -1  32.55  100.0
1 1 -2  34.02  33.3
0 0 3  34.67  21.4
3 1 -4  47.01  18.8

Cell and atoms:
Unit cell a=15.813 b=3.225 c=9.822 alpha=90.00 beta=127.78 gamma=90.00
Space group Cm (No. 8)
Symmetry-distinct sites (fractional):
Mg 0.000 0.000 0.000 [2 per cell]
Sn 0.180 0.500 0.369 [2 per cell]
Sn 0.208 0.000 0.009 [2 per cell]
Sn 0.458 0.000 0.641 [2 per cell]
Sn 0.475 0.500 0.308 [2 per cell]
O 0.005 0.500 0.185 [2 per cell]
O 0.058 0.000 0.704 [2 per cell]
O 0.146 0.000 0.472 [2 per cell]
O 0.165 0.000 0.217 [2 per cell]
O 0.322 0.500 0.080 [2 per cell]
O 0.343 0.500 0.533 [2 per cell]
O 0.445 0.000 0.404 [2 per cell]
O 0.481 0.000 0.869 [2 per cell]


(11)
Simulated powder diffractogram of Mg2SnO4 for copper Kα, from a crystal structure in the Materials Project, relaxed with PBE.
Kinematic intensities with the Lorentz-polarization factor, no thermal factor.

Most intense lines, 10 to 90 degrees two-theta, low angle first:
index  2θ/deg  I_rel
1 0 1  17.72  100.0
0 0 2  20.43  24.2
2 0 0  29.17  18.4
1 2 1  33.61  65.1
1 0 3  34.22  37.1
2 2 0  41.11  33.4
0 0 4  41.55  16.3
2 2 2  46.33  14.6
3 2 1  54.61  19.4
2 2 4  59.88  32.3

Cell and atoms:
Unit cell a=6.123 b=6.300 c=8.695 alpha=90.00 beta=90.00 gamma=90.00
Space group Imma (No. 74)
Symmetry-distinct sites (fractional):
Mg 0.000 0.250 0.138 [4 per cell]
Mg 0.250 0.250 0.750 [4 per cell]
Sn 0.000 0.000 0.500 [4 per cell]
O 0.000 0.018 0.736 [8 per cell]
O 0.234 0.250 0.504 [8 per cell]


(12)
Simulated powder diffractogram of Mg2SnO4 for copper Kα, from a crystal structure in the Materials Project, relaxed with PBE.
Kinematic intensities with the Lorentz-polarization factor, no thermal factor.

Most intense lines, 10 to 90 degrees two-theta, low angle first:
index  2θ/deg  I_rel
0 2 0  18.45  35.3
1 1 0  19.29  100.0
1 3 0  32.75  56.4
0 2 1  34.44  22.5
1 1 1  34.92  87.0
0 4 0  37.40  15.2
2 2 1  49.35  52.2
1 5 1  59.23  28.1
2 4 1  60.18  14.5
1 3 2  69.80  13.6

Cell and atoms:
Unit cell a=5.240 b=9.619 c=3.097 alpha=90.00 beta=90.00 gamma=90.00
Space group Pbam (No. 55)
Symmetry-distinct sites (fractional):
Mg 0.052 0.185 0.000 [4 per cell]
Sn 0.000 0.500 0.500 [2 per cell]
O 0.168 0.696 0.500 [4 per cell]
O 0.249 0.949 0.000 [4 per cell]